Mn2O3F: calculated powder diffraction line list (a wavelength of 1.5418 Å), based on DFT lattice parameters and positions (PBE+U).
Kinematic intensities with the Lorentz-polarization factor, no thermal factor.

Top 10 peaks for 2θ = 10–90°, sorted by position:
2θ 27.01, I = 88; 2θ 28.19, I = 93; 2θ 35.72, I = 100; 2θ 40.56, I = 18; 2θ 53.58, I = 52; 2θ 54.92, I = 54; 2θ 55.69, I = 17; 2θ 61.63, I = 16; 2θ 69.04, I = 19; 2θ 69.15, I = 29

Crystal structure
Unit cell a=5.4794 b=5.4794 c=10.0488 alpha=110.43 beta=110.43 gamma=66.64
Fractional coordinates of all 24 atoms:
Mn  0.0000  0.0000  0.0000
Mn  0.1196  0.6303  0.2516
Mn  0.2708  0.2708  0.5143
Mn  0.3697  0.8804  0.7484
Mn  0.5000  0.5000  0.0000
Mn  0.6303  0.1196  0.2516
Mn  0.7292  0.7292  0.4857
Mn  0.8804  0.3697  0.7484
O  0.0455  0.5452  0.4036
O  0.1997  0.7056  0.0971
O  0.2666  0.2666  0.8454
O  0.2944  0.8003  0.9029
O  0.4548  0.9545  0.5964
O  0.4878  0.4878  0.6556
O  0.5122  0.5122  0.3444
O  0.5452  0.0455  0.4036
O  0.7056  0.1997  0.0971
O  0.7334  0.7334  0.1546
O  0.8003  0.2944  0.9029
O  0.9545  0.4548  0.5964
F  0.0420  0.0420  0.3626
F  0.2142  0.2142  0.1420
F  0.7858  0.7858  0.8580
F  0.9580  0.9580  0.6374